This entry pairs a crystal structure of Na8B13C3 with its computed X-ray powder pattern. Radiation: copper Kα. Structure: the GGA-PBE geometry in Alexandria.
Neutral-atom scattering factors, no anomalous dispersion.

The 8 most intense peaks (2θ from 10° to 90°), low angle first:
two_theta, d/Å, Rel. int., h k l
33.67, 2.662, 138, 0 0 4
36.23, 2.479, 165, 1 0 2
39.73, 2.269, 507, 0 2 4
41.65, 2.168, 380, 0 4 0
41.98, 2.152, 1000, 1 2 2
61.89, 1.499, 185, 1 0 6
76.24, 1.249, 132, 1 6 2
77.39, 1.233, 176, 1 4 6

Crystal structure
```
data_Na8B13C3
_symmetry_space_group_name_H-M 'P m m 2'
_symmetry_Int_Tables_number 25
_cell_length_a 2.8016
_cell_length_b 8.6737
_cell_length_c 10.6473
_cell_angle_alpha 90.00
_cell_angle_beta 90.00
_cell_angle_gamma 90.00
loop_
_symmetry_equiv_pos_as_xyz
'x,y,z'
'-x,-y,z'
'-x,y,z'
'x,-y,z'
loop_
_atom_site_label
_atom_site_type_symbol
_atom_site_fract_x
_atom_site_fract_y
_atom_site_fract_z
Na1 Na 0.0000 0.2473 0.0000
Na2 Na 0.0000 0.2506 0.5012
Na3 Na 0.5000 0.2492 0.2510
Na4 Na 0.5000 0.2505 0.7514
B1 B 0.0000 0.0000 0.1765
B2 B 0.0000 0.0000 0.3355
B3 B 0.0000 0.0000 0.6567
B4 B 0.0000 0.0000 0.8192
B5 B 0.0000 0.5000 0.1755
B6 B 0.0000 0.5000 0.3420
B7 B 0.0000 0.5000 0.6759
B8 B 0.0000 0.5000 0.8423
B9 B 0.5000 0.0000 0.0787
B10 B 0.5000 0.0000 0.4360
B11 B 0.5000 0.0000 0.9196
B12 B 0.5000 0.5000 0.0682
B13 B 0.5000 0.5000 0.5685
C1 C 0.5000 0.0000 0.5823
C2 C 0.5000 0.5000 0.4201
C3 C 0.5000 0.5000 0.9201
```